No. 1
Starting from a structure optimized by DFT (PBE), the X-ray powder pattern of Ac7Pr4Dy was simulated for Cu Ka.

Crystal structure
Lattice parameters (Å, degrees): 6.7375 7.7361 9.6825 89.67 76.65 89.93
Atoms (fractional coordinates):
Ac 0.0000 0.0000 0.0000
Ac 0.2180 0.5007 0.3313
Ac 0.2822 0.7531 0.6659
Ac 0.4966 0.2503 0.9961
Ac 0.5034 0.7497 0.0039
Ac 0.7178 0.2469 0.3341
Ac 0.7820 0.4993 0.6687
Pr 0.2205 0.0010 0.3339
Pr 0.2749 0.2505 0.6706
Pr 0.7251 0.7495 0.3294
Pr 0.7795 0.9990 0.6661
Dy 0.0000 0.5000 0.0000

Largest 8 diffraction maxima, in order of falling intensity, 2θ = 15–90°:
2θ = 29.41°, rel. 100; 2θ = 30.91°, rel. 86; 2θ = 28.42°, rel. 74; 2θ = 29.52°, rel. 49; 2θ = 31.09°, rel. 42; 2θ = 26.76°, rel. 40; 2θ = 46.77°, rel. 39; 2θ = 55.70°, rel. 35

No. 2
Starting from a structure optimized by DFT (PBE), the X-ray powder pattern of AcPr2Dy8 was simulated for Cu Ka.

Crystal structure
Lattice parameters (Å, degrees): 9.5402 9.5402 9.5402 146.12 128.45 63.12
Atoms (fractional coordinates):
Ac 0.0000 0.0000 0.0000
Pr 0.3005 0.3005 0.0000
Pr 0.6995 0.6995 0.0000
Dy 0.1523 0.8565 0.2957
Dy 0.1604 0.6604 0.5000
Dy 0.2963 0.5000 0.7963
Dy 0.4392 0.1435 0.2957
Dy 0.5608 0.8565 0.7043
Dy 0.7037 0.5000 0.2037
Dy 0.8396 0.3396 0.5000
Dy 0.8477 0.1435 0.7043

Largest 8 diffraction maxima, in order of falling intensity, 2θ = 15–90°:
2θ = 31.57°, rel. 100; 2θ = 32.21°, rel. 33; 2θ = 29.27°, rel. 30; 2θ = 57.02°, rel. 19; 2θ = 33.06°, rel. 18; 2θ = 32.85°, rel. 14; 2θ = 46.82°, rel. 13; 2θ = 61.94°, rel. 13

No. 3
Starting from a structure optimized by DFT (PBE), the X-ray powder pattern of AcPr2SmDy was simulated for Cu Ka.

Crystal structure
Lattice parameters (Å, degrees): 7.4501 7.4501 7.4431 90.00 90.00 111.20
Atoms (fractional coordinates):
Ac 0.2417 0.7583 0.7500
Ac 0.7583 0.2417 0.2500
Pr 0.3032 0.3032 0.0000
Pr 0.3032 0.3032 0.5000
Pr 0.6968 0.6968 0.0000
Pr 0.6968 0.6968 0.5000
Sm 0.0555 0.9445 0.2500
Sm 0.9445 0.0555 0.7500
Dy 0.3049 0.6951 0.2500
Dy 0.6951 0.3049 0.7500

Largest 8 diffraction maxima, in order of falling intensity, 2θ = 15–90°:
2θ = 32.10°, rel. 100; 2θ = 28.03°, rel. 66; 2θ = 25.65°, rel. 63; 2θ = 27.00°, rel. 39; 2θ = 43.84°, rel. 37; 2θ = 29.05°, rel. 35; 2θ = 38.21°, rel. 32; 2θ = 21.11°, rel. 23

No. 4
Starting from a structure optimized by DFT (PBE), the X-ray powder pattern of AcTbPrDy3 was simulated for Cu Ka.

Crystal structure
Lattice parameters (Å, degrees): 10.6630 10.6630 7.2143 90.35 90.35 31.11
Atoms (fractional coordinates):
Ac 0.1439 0.1439 0.4716
Ac 0.8561 0.8561 0.5284
Tb 0.1524 0.1524 0.0268
Tb 0.8476 0.8476 0.9732
Pr 0.4436 0.4436 0.7889
Pr 0.5564 0.5564 0.2111
Dy 0.0206 0.0206 0.7747
Dy 0.2810 0.2810 0.7466
Dy 0.3298 0.3298 0.2268
Dy 0.6702 0.6702 0.7732
Dy 0.7190 0.7190 0.2534
Dy 0.9794 0.9794 0.2253

Largest 8 diffraction maxima, in order of falling intensity, 2θ = 15–90°:
2θ = 29.57°, rel. 100; 2θ = 32.05°, rel. 93; 2θ = 31.29°, rel. 86; 2θ = 34.34°, rel. 61; 2θ = 32.19°, rel. 48; 2θ = 29.43°, rel. 40; 2θ = 30.37°, rel. 32; 2θ = 56.20°, rel. 29

No. 5
Starting from a structure optimized by DFT (PBE), the X-ray powder pattern of AcPr4DyTm2 was simulated for Cu Ka.

Crystal structure
Lattice parameters (Å, degrees): 6.3466 6.3466 10.4300 114.32 114.32 48.40
Atoms (fractional coordinates):
Ac 0.0000 0.0000 0.0000
Pr 0.2470 0.2470 0.8693
Pr 0.2514 0.2514 0.3784
Pr 0.7486 0.7486 0.6216
Pr 0.7530 0.7530 0.1307
Dy 0.0000 0.0000 0.5000
Tm 0.4992 0.4992 0.2569
Tm 0.5008 0.5008 0.7431

Largest 8 diffraction maxima, in order of falling intensity, 2θ = 15–90°:
2θ = 29.79°, rel. 100; 2θ = 34.43°, rel. 34; 2θ = 49.72°, rel. 24; 2θ = 34.74°, rel. 17; 2θ = 58.89°, rel. 15; 2θ = 58.79°, rel. 14; 2θ = 59.24°, rel. 14; 2θ = 61.88°, rel. 13

No. 6
Starting from a structure optimized by DFT (PBE), the X-ray powder pattern of Ac2PrDyTm was simulated for Cu Ka.

Crystal structure
Lattice parameters (Å, degrees): 6.4623 9.0037 6.6813 90.00 90.00 90.00
Atoms (fractional coordinates):
Ac 0.2500 0.2031 0.2152
Ac 0.2500 0.7969 0.2152
Ac 0.7500 0.2031 0.7848
Ac 0.7500 0.7969 0.7848
Pr 0.2500 0.5000 0.9200
Pr 0.7500 0.5000 0.0800
Dy 0.2500 0.0000 0.6884
Dy 0.7500 0.0000 0.3116
Tm 0.0000 0.5000 0.5000
Tm 0.5000 0.5000 0.5000

Largest 8 diffraction maxima, in order of falling intensity, 2θ = 15–90°:
2θ = 27.60°, rel. 100; 2θ = 28.50°, rel. 25; 2θ = 35.61°, rel. 21; 2θ = 38.77°, rel. 18; 2θ = 56.97°, rel. 18; 2θ = 48.81°, rel. 17; 2θ = 32.34°, rel. 17; 2θ = 33.40°, rel. 16